[1]
Structure and theoretical powder diffractogram of BeVTcIr (the GGA-PBE geometry in Alexandria; Cu Kα X-rays).

The 7 most intense peaks (5 to 70 degrees two-theta), sorted by position:
d [Å], 2θ/deg, I (rel.)
3.393, 26.26, 205
2.939, 30.42, 605
2.078, 43.55, 1000
1.772, 51.58, 103
1.697, 54.05, 167
1.469, 63.29, 162
1.348, 69.75, 43

abc: 4.1559 4.1559 4.1559
angles: 60.00 60.00 60.00
Fractional coordinates of all 4 atoms:
Be1 0.0000 0.0000 0.0000
V1 0.5000 0.5000 0.5000
Tc1 0.7500 0.7500 0.7500
Ir1 0.2500 0.2500 0.2500

[2]
Structure and theoretical powder diffractogram of Th2UBeIr6 (the GGA-PBE geometry in Alexandria; Cu Kα X-rays).

The 10 most intense peaks (5 to 70 degrees two-theta), sorted by position:
d [Å], 2θ/deg, I (rel.)
4.625, 19.19, 59
3.271, 27.27, 169
2.789, 32.09, 148
2.670, 33.56, 1000
2.313, 38.95, 916
2.122, 42.60, 225
1.780, 51.32, 103
1.635, 56.26, 595
1.463, 63.62, 63
1.395, 67.12, 340

abc: 6.5410 6.5410 6.5410
angles: 60.00 60.00 60.00
Fractional coordinates of all 10 atoms:
Th1 0.2500 0.2500 0.2500
Th2 0.7500 0.7500 0.7500
U1 0.0000 0.0000 0.0000
Be1 0.5000 0.5000 0.5000
Ir1 0.2736 0.2736 0.7264
Ir2 0.2736 0.7264 0.2736
Ir3 0.2736 0.7264 0.7264
Ir4 0.7264 0.2736 0.2736
Ir5 0.7264 0.2736 0.7264
Ir6 0.7264 0.7264 0.2736

[3]
Structure and theoretical powder diffractogram of Ti2Be15Ir2 (the GGA-PBE geometry in Alexandria; Cu Kα X-rays).

The 10 most intense peaks (5 to 70 degrees two-theta), sorted by position:
d [Å], 2θ/deg, I (rel.)
5.688, 15.58, 695
3.830, 23.22, 1000
3.177, 28.09, 155
2.551, 35.18, 343
2.445, 36.75, 162
2.211, 40.81, 283
2.123, 42.58, 228
1.915, 47.48, 205
1.857, 49.06, 286
1.532, 60.45, 139

abc: 5.7564 5.7564 5.7564
angles: 83.42 83.42 83.42
Fractional coordinates of all 19 atoms:
Ti1 0.1522 0.1522 0.1522
Ti2 0.8478 0.8478 0.8478
Be1 0.0000 0.5000 0.5000
Be2 0.1511 0.1511 0.6628
Be3 0.1511 0.6628 0.1511
Be4 0.2138 0.5000 0.7862
Be5 0.2138 0.7862 0.5000
Be6 0.3372 0.8489 0.8489
Be7 0.5000 0.0000 0.5000
Be8 0.5000 0.2138 0.7862
Be9 0.5000 0.5000 0.0000
Be10 0.5000 0.7862 0.2138
Be11 0.6628 0.1511 0.1511
Be12 0.7862 0.2138 0.5000
Be13 0.7862 0.5000 0.2138
Be14 0.8489 0.3372 0.8489
Be15 0.8489 0.8489 0.3372
Ir1 0.3838 0.3838 0.3838
Ir2 0.6162 0.6162 0.6162